Entry 1:
For YMo2O7F, a structure optimized by DFT (PBE+U) gives the simulated powder diffractogram in this record (CuKα).
Lines closer than 0.1° are merged.

Cell and atoms:
Unit cell a=4.3590 b=6.6600 c=11.5454 alpha=90.00 beta=90.51 gamma=90.00
Space group P2/c (No. 13)
Unique sites:
Y (0.0000, 0.2009, 0.2500) x2
Mo (0.0969, 0.3315, 0.5942) x4
O (0.0000, 0.4404, 0.7500) x2
O (0.0009, 0.3507, 0.0665) x4
O (0.0170, 0.0779, 0.6282) x4
O (0.4941, 0.3423, 0.5971) x4
F (0.5000, 0.1971, 0.2500) x2

Peak list (10 most intense, 10° ≤ 2θ ≤ 90°, by angle)
2θ/deg, d/Å, Rel. int.
13.29, 6.660, 215
20.37, 4.359, 963
25.54, 3.488, 130
25.70, 3.467, 175
26.76, 3.332, 1000
27.88, 3.200, 225
33.73, 2.657, 179
34.82, 2.576, 127
41.43, 2.180, 161
47.24, 1.924, 142

***

Entry 2:
For KLiW3O9, a structure optimized by DFT (PBE+U) gives the simulated powder diffractogram in this record (CuKα).
Lines closer than 0.1° are merged.

Cell and atoms:
Unit cell a=7.5828 b=7.6068 c=7.9189 alpha=90.08 beta=90.16 gamma=119.53
Space group P1 (No. 1)
Unique sites:
K (0.0000, 0.0000, 0.0000) x1
K (0.0032, 0.0079, 0.5015) x1
Li (0.3940, 0.7008, 0.5199) x1
Li (0.7024, 0.3032, 0.0188) x1
W (0.0009, 0.5060, 0.7676) x1
W (0.0007, 0.5074, 0.2714) x1
W (0.4940, 0.0039, 0.7690) x1
W (0.4951, 0.0042, 0.2690) x1
W (0.4977, 0.5010, 0.2671) x1
W (0.4992, 0.5021, 0.7710) x1
O (0.9998, 0.5081, 0.0229) x1
O (0.2020, 0.7902, 0.2778) x1
O (0.2041, 0.4276, 0.2738) x1
O (0.2080, 0.4273, 0.7649) x1
O (0.2115, 0.7994, 0.7608) x1
O (0.4161, 0.2084, 0.7765) x1
O (0.4162, 0.2120, 0.2630) x1
O (0.4945, 0.0009, 0.0156) x1
O (0.4956, 0.5016, 0.5193) x1
O (0.4991, 0.0069, 0.5233) x1
O (0.4998, 0.5053, 0.0194) x1
O (0.5683, 0.7907, 0.2809) x1
O (0.5690, 0.7950, 0.7580) x1
O (0.7786, 0.2129, 0.7827) x1
O (0.7874, 0.2216, 0.2559) x1
O (0.7873, 0.5811, 0.7734) x1
O (0.7901, 0.5805, 0.2649) x1
O (0.9971, 0.5011, 0.5148) x1

Peak list (10 most intense, 10° ≤ 2θ ≤ 90°, by angle)
2θ/deg, d/Å, Rel. int.
13.40, 6.608, 433
13.49, 6.562, 221
22.46, 3.959, 674
26.23, 3.397, 285
26.99, 3.304, 1000
27.18, 3.281, 490
35.32, 2.541, 247
35.45, 2.532, 243
35.54, 2.526, 238
54.10, 1.695, 288

***

Entry 3:
For Mn5SnO12, a structure optimized by DFT (PBE+U) gives the simulated powder diffractogram in this record (CuKα).
Lines closer than 0.1° are merged.

Cell and atoms:
Unit cell a=5.1614 b=8.9459 c=10.5609 alpha=90.00 beta=90.05 gamma=90.00
Space group C2/m (No. 12)
Unique sites:
Mn (0.0000, 0.0000, 0.0000) x2
Mn (0.0000, 0.1667, 0.5000) x4
Mn (0.0000, 0.3333, 0.0000) x4
Sn (0.0000, 0.5000, 0.5000) x2
O (0.1456, 0.0000, 0.5949) x4
O (0.1663, 0.5000, 0.9115) x4
O (0.1665, 0.1666, 0.9116) x8
O (0.1774, 0.3227, 0.5949) x8

Peak list (10 most intense, 10° ≤ 2θ ≤ 90°, by angle)
2θ/deg, d/Å, Rel. int.
16.79, 5.280, 1000
34.76, 2.581, 66
35.80, 2.508, 263
38.84, 2.319, 181
43.46, 2.082, 260
49.38, 1.846, 116
56.27, 1.635, 146
62.99, 1.476, 123
72.57, 1.303, 58
83.33, 1.160, 57